Record 1
Structure and simulated powder XRD pattern of MgCu4As4S4 (a structure optimized by DFT (PBE); a wavelength of 1.5418 Å).
Kinematic intensities with the Lorentz-polarization factor, no thermal factor.

Largest 10 diffraction maxima, by angle, 10 to 90 degrees two-theta:
two_theta  I_rel
25.0  38
28.8  100
28.9  75
29.0  45
30.7  28
31.0  30
47.4  40
47.7  46
49.3  51
56.5  31

Structural model:
```
data_MgCu4As4S4
_cell_length_a 3.833
_cell_length_b 5.353
_cell_length_c 12.817
_cell_angle_alpha 81.60
_cell_angle_beta 89.96
_cell_angle_gamma 89.99
_space_group_name_H-M_alt 'P 1'
_space_group_IT_number 1
_space_group_name_Hall 'P 1'
loop_
_atom_site_label
_atom_site_type_symbol
_atom_site_fract_x
_atom_site_fract_y
_atom_site_fract_z
Mg1 Mg 0.000 0.000 0.000
Cu1 Cu 0.000 0.543 0.376
Cu2 Cu 0.000 0.733 0.831
Cu3 Cu 0.498 0.977 0.524
Cu4 Cu 0.499 0.467 0.076
As1 As 0.000 0.858 0.219
As2 As 0.001 0.513 0.686
As3 As 0.500 0.162 0.229
As4 As 0.502 0.206 0.673
S1 S 0.500 0.302 0.389
S2 S 0.500 0.983 0.845
S3 S 0.999 0.478 0.989
S4 S 0.999 0.744 0.523
```


Record 2
Structure and simulated powder XRD pattern of SiB4 (a structure optimized by DFT (PBE); a wavelength of 1.5418 Å).
Kinematic intensities with the Lorentz-polarization factor, no thermal factor.

Largest 10 diffraction maxima, by angle, 10 to 90 degrees two-theta:
two_theta  I_rel
21.4  26
28.7  100
34.1  88
39.8  38
45.1  34
49.8  45
53.0  33
59.5  27
69.2  23
76.5  22

Structural model:
```
data_SiB4
_cell_length_a 6.2189
_cell_length_b 6.2189
_cell_length_c 12.4671
_cell_angle_alpha 90.00
_cell_angle_beta 90.00
_cell_angle_gamma 120.00
_space_group_name_H-M_alt 'R -3 m'
_space_group_IT_number 166
_space_group_name_Hall '-R 3 2"'
loop_
_atom_site_label
_atom_site_type_symbol
_atom_site_fract_x
_atom_site_fract_y
_atom_site_fract_z
Si1 Si 0.0000 0.0000 0.0000
Si2 Si 0.0000 0.0000 0.1743
B1 B 0.0320 0.5160 0.1933
B2 B 0.1029 0.2059 0.3829
```


Record 3
Structure and simulated powder XRD pattern of Na3AlH6 (a structure optimized by DFT (PBE); a wavelength of 1.5418 Å).
Kinematic intensities with the Lorentz-polarization factor, no thermal factor.

Largest 10 diffraction maxima, by angle, 10 to 90 degrees two-theta:
two_theta  I_rel
32.3  23
32.9  100
33.5  24
47.2  26
58.0  13
58.3  8
59.1  9
59.5  17
69.0  9
78.5  7

Structural model:
```
data_Na3AlH6
_cell_length_a 5.346
_cell_length_b 5.543
_cell_length_c 9.380
_cell_angle_alpha 90.00
_cell_angle_beta 124.72
_cell_angle_gamma 90.00
_space_group_name_H-M_alt 'P 1 21/c 1'
_space_group_IT_number 14
_space_group_name_Hall '-P 2ybc'
loop_
_atom_site_label
_atom_site_type_symbol
_atom_site_fract_x
_atom_site_fract_y
_atom_site_fract_z
Na1 Na 0.000 0.000 0.000
Na2 Na 0.257 0.047 0.746
Al1 Al 0.500 0.000 0.500
H1 H 0.184 0.048 0.284
H2 H 0.272 0.669 0.044
H3 H 0.403 0.233 0.064
```


Record 4
Structure and simulated powder XRD pattern of TiOF (a structure optimized by DFT (PBE); a wavelength of 1.5418 Å).
Kinematic intensities with the Lorentz-polarization factor, no thermal factor.

Largest 10 diffraction maxima, by angle, 10 to 90 degrees two-theta:
two_theta  I_rel
24.3  100
29.6  87
30.3  40
39.7  26
41.3  20
43.3  31
51.8  19
52.2  32
52.7  35
53.5  34

Structural model:
```
data_TiOF
_cell_length_a 5.174
_cell_length_b 4.770
_cell_length_c 5.702
_cell_angle_alpha 90.00
_cell_angle_beta 92.12
_cell_angle_gamma 90.00
_space_group_name_H-M_alt 'P 1 21/c 1'
_space_group_IT_number 14
_space_group_name_Hall '-P 2ybc'
loop_
_atom_site_label
_atom_site_type_symbol
_atom_site_fract_x
_atom_site_fract_y
_atom_site_fract_z
Ti1 Ti 0.215 0.016 0.140
O1 O 0.089 0.235 0.869
F1 F 0.417 0.730 0.378
```


Record 5
Structure and simulated powder XRD pattern of Eu2MgSe4 (a structure optimized by DFT (PBE); a wavelength of 1.5418 Å).
Kinematic intensities with the Lorentz-polarization factor, no thermal factor.

Largest 10 diffraction maxima, by angle, 10 to 90 degrees two-theta:
two_theta  I_rel
14.1  37
17.5  62
22.4  32
25.2  36
27.4  63
27.7  33
35.5  100
35.7  42
42.3  31
42.9  51

Structural model:
```
data_Eu2MgSe4
_cell_length_a 14.540
_cell_length_b 8.544
_cell_length_c 6.954
_cell_angle_alpha 90.00
_cell_angle_beta 90.00
_cell_angle_gamma 90.00
_space_group_name_H-M_alt 'P n m a'
_space_group_IT_number 62
_space_group_name_Hall '-P 2ac 2n'
loop_
_atom_site_label
_atom_site_type_symbol
_atom_site_fract_x
_atom_site_fract_y
_atom_site_fract_z
Eu1 Eu 0.000 0.000 0.000
Eu2 Eu 0.232 0.250 0.500
Mg1 Mg 0.091 0.750 0.424
Se1 Se 0.068 0.250 0.745
Se2 Se 0.092 0.750 0.790
Se3 Se 0.167 0.513 0.250
```


Record 6
Structure and simulated powder XRD pattern of Rb3Sm (a structure optimized by DFT (PBE); a wavelength of 1.5418 Å).
Kinematic intensities with the Lorentz-polarization factor, no thermal factor.

Largest 10 diffraction maxima, by angle, 10 to 90 degrees two-theta:
two_theta  I_rel
24.1  100
25.6  22
29.1  31
39.1  28
41.6  12
44.2  19
48.6  30
49.4  14
62.3  14
74.2  8

Structural model:
```
data_Rb3Sm
_cell_length_a 6.147
_cell_length_b 6.147
_cell_length_c 13.929
_cell_angle_alpha 90.00
_cell_angle_beta 90.00
_cell_angle_gamma 90.00
_space_group_name_H-M_alt 'I 4/m m m'
_space_group_IT_number 139
_space_group_name_Hall '-I 4 2'
loop_
_atom_site_label
_atom_site_type_symbol
_atom_site_fract_x
_atom_site_fract_y
_atom_site_fract_z
Rb1 Rb 0.000 0.000 0.000
Rb2 Rb 0.000 0.500 0.250
Sm1 Sm 0.000 0.000 0.500
```


Record 7
Structure and simulated powder XRD pattern of GaAgS2 (a structure optimized by DFT (PBE); a wavelength of 1.5418 Å).
Kinematic intensities with the Lorentz-polarization factor, no thermal factor.

Largest 10 diffraction maxima, by angle, 10 to 90 degrees two-theta:
two_theta  I_rel
27.5  100
30.9  14
44.3  20
46.4  36
52.9  30
56.7  12
64.4  6
74.6  10
83.0  11
88.0  7

Structural model:
```
data_GaAgS2
_cell_length_a 5.787
_cell_length_b 5.787
_cell_length_c 10.613
_cell_angle_alpha 90.00
_cell_angle_beta 90.00
_cell_angle_gamma 90.00
_space_group_name_H-M_alt 'I -4 2 d'
_space_group_IT_number 122
_space_group_name_Hall 'I -4 2bw'
loop_
_atom_site_label
_atom_site_type_symbol
_atom_site_fract_x
_atom_site_fract_y
_atom_site_fract_z
Ga1 Ga 0.000 0.000 0.000
Ag1 Ag 0.000 0.000 0.500
S1 S 0.213 0.750 0.125
```